Structure and computed powder X-ray diffraction pattern of YCdP2Rh5 (a structure optimized by DFT (GGA-PBE); a wavelength of 1.5418 Å).
No peak broadening, texture or thermal motion is included.

Peak list (10 most intense, 10 to 90 degrees two-theta, by angle)
2theta, d (Å), I_rel
23.77, 3.744, 21
25.68, 3.469, 41
32.72, 2.737, 30
36.06, 2.491, 100
41.10, 2.196, 29
45.20, 2.006, 55
47.41, 1.918, 22
52.73, 1.736, 33
54.69, 1.678, 26
71.94, 1.312, 25

Cell and atoms:
Cell: 4.012 4.012 10.408 Å, 90.00 90.00 90.00°
Sites, in units of the cell vectors:
Y 0.000 0.000 0.000
Cd 0.000 0.000 0.500
P 0.500 0.500 0.216
P 0.500 0.500 0.784
Rh 0.000 0.500 0.315
Rh 0.000 0.500 0.685
Rh 0.500 0.000 0.315
Rh 0.500 0.000 0.685
Rh 0.500 0.500 0.000